Record 1
This entry pairs a crystal structure of CaNd2PtO5 with its computed XRD peak list. Radiation: Cu Ka. Structure: the PBE geometry in Alexandria.
Intensities are scaled so that the largest is 100.

Cell and atoms:
```
data_CaNd2PtO5
_symmetry_space_group_name_H-M 'P 4/m b m'
_symmetry_Int_Tables_number 127
_symmetry_space_group_name_Hall '-P 4 2ab'
_cell_length_a 6.7327
_cell_length_b 6.7327
_cell_length_c 5.8811
_cell_angle_alpha 90.00
_cell_angle_beta 90.00
_cell_angle_gamma 90.00
loop_
_atom_site_label
_atom_site_fract_x
_atom_site_fract_y
_atom_site_fract_z
Ca1 0.0000 0.0000 0.0000
Nd1 0.1729 0.3271 0.5000
Pt1 0.0000 0.5000 0.0000
O1 0.0000 0.0000 0.5000
O2 0.1456 0.6456 0.2471
```

Most intense lines, 10 to 90 degrees two-theta, in order of rising 2θ:
- 18.64 deg, intensity 55
- 29.67 deg, intensity 19
- 30.40 deg, intensity 39
- 30.60 deg, intensity 100
- 33.43 deg, intensity 49
- 37.79 deg, intensity 24
- 42.99 deg, intensity 37
- 45.30 deg, intensity 42
- 49.25 deg, intensity 21
- 54.14 deg, intensity 20



Record 2
This entry pairs a crystal structure of PmMg2Zn10 with its computed XRD peak list. Radiation: Cu Ka. Structure: the PBE geometry in Alexandria.
Intensities are scaled so that the largest is 100.

Cell and atoms:
```
data_PmMg2Zn10
_symmetry_space_group_name_H-M 'F m m m'
_symmetry_Int_Tables_number 69
_symmetry_space_group_name_Hall '-F 2 2'
_cell_length_a 5.5346
_cell_length_b 12.5924
_cell_length_c 12.8211
_cell_angle_alpha 90.00
_cell_angle_beta 90.00
_cell_angle_gamma 90.00
loop_
_atom_site_label
_atom_site_fract_x
_atom_site_fract_y
_atom_site_fract_z
Pm1 0.0000 0.0000 0.0000
Mg1 0.2500 0.0000 0.2500
Zn1 0.0000 0.1109 0.3950
Zn2 0.0000 0.1812 0.1740
Zn3 0.2500 0.2500 0.0000
```

Most intense lines, 10 to 90 degrees two-theta, in order of rising 2θ:
- 13.81 deg, intensity 28
- 32.35 deg, intensity 51
- 34.04 deg, intensity 85
- 38.20 deg, intensity 100
- 39.38 deg, intensity 86
- 39.95 deg, intensity 91
- 40.15 deg, intensity 71
- 43.18 deg, intensity 27
- 62.86 deg, intensity 23
- 71.66 deg, intensity 31



Record 3
This entry pairs a crystal structure of Na2Tl9In4 with its computed XRD peak list. Radiation: Cu Ka. Structure: the PBE geometry in Alexandria.
Intensities are scaled so that the largest is 100.

Cell and atoms:
```
data_Na2Tl9In4
_symmetry_space_group_name_H-M 'P -1'
_symmetry_Int_Tables_number 2
_cell_length_a 8.8752
_cell_length_b 9.5019
_cell_length_c 12.7794
_cell_angle_alpha 75.81
_cell_angle_beta 89.96
_cell_angle_gamma 62.21
loop_
_symmetry_equiv_pos_as_xyz
'x,y,z'
'-x,-y,-z'
loop_
_atom_site_label
_atom_site_fract_x
_atom_site_fract_y
_atom_site_fract_z
Na1 0.0189 0.0323 0.1206
Na2 0.0494 0.9673 0.3796
Tl1 0.0143 0.5998 0.8769
Tl2 0.0438 0.2845 0.7193
Tl3 0.0556 0.6584 0.5858
Tl4 0.2864 0.6572 0.0880
Tl5 0.2913 0.0527 0.9554
Tl6 0.3283 0.7164 0.7817
Tl7 0.3454 0.9462 0.5425
Tl8 0.3856 0.6002 0.3753
Tl9 0.3857 0.9992 0.2512
In1 0.2888 0.3464 0.2976
In2 0.3138 0.3035 0.5508
In3 0.3640 0.3470 0.7980
In4 0.3836 0.3021 0.0506
```

Most intense lines, 10 to 90 degrees two-theta, in order of rising 2θ:
- 25.47 deg, intensity 35
- 28.39 deg, intensity 68
- 29.69 deg, intensity 100
- 30.48 deg, intensity 46
- 31.96 deg, intensity 32
- 32.53 deg, intensity 74
- 32.76 deg, intensity 42
- 33.27 deg, intensity 49
- 34.59 deg, intensity 96
- 35.78 deg, intensity 58



Record 4
This entry pairs a crystal structure of AcZn3GaAg with its computed XRD peak list. Radiation: Cu Ka. Structure: the PBE geometry in Alexandria.
Intensities are scaled so that the largest is 100.

Cell and atoms:
```
data_AcZn3GaAg
_symmetry_space_group_name_H-M 'C m c m'
_symmetry_Int_Tables_number 63
_symmetry_space_group_name_Hall '-C 2c 2'
_cell_length_a 6.4660
_cell_length_b 13.2461
_cell_length_c 6.1481
_cell_angle_alpha 90.00
_cell_angle_beta 90.00
_cell_angle_gamma 90.00
loop_
_atom_site_label
_atom_site_fract_x
_atom_site_fract_y
_atom_site_fract_z
Ac1 0.0000 0.2128 0.2500
Zn1 0.0000 0.3612 0.7500
Zn2 0.1959 0.0000 0.0000
Ga1 0.0000 0.4426 0.2500
Ag1 0.0000 0.1534 0.7500
```

Most intense lines, 10 to 90 degrees two-theta, in order of rising 2θ:
- 24.41 deg, intensity 33
- 27.59 deg, intensity 54
- 28.46 deg, intensity 41
- 29.05 deg, intensity 39
- 30.77 deg, intensity 56
- 32.10 deg, intensity 61
- 36.66 deg, intensity 35
- 38.30 deg, intensity 50
- 39.58 deg, intensity 70
- 40.49 deg, intensity 100



Record 5
This entry pairs a crystal structure of SrCaAc3 with its computed XRD peak list. Radiation: Cu Ka. Structure: the PBE geometry in Alexandria.
Intensities are scaled so that the largest is 100.

Cell and atoms:
```
data_SrCaAc3
_symmetry_space_group_name_H-M 'A m m 2'
_symmetry_Int_Tables_number 38
_cell_length_a 3.8952
_cell_length_b 7.3981
_cell_length_c 18.8317
_cell_angle_alpha 90.00
_cell_angle_beta 90.00
_cell_angle_gamma 90.00
loop_
_symmetry_equiv_pos_as_xyz
'x,y,z'
'-x,-y,z'
'-x,y,z'
'x,-y,z'
'x,y+1/2,z+1/2'
'-x,-y+1/2,z+1/2'
'-x,y+1/2,z+1/2'
'x,-y+1/2,z+1/2'
loop_
_atom_site_label
_atom_site_fract_x
_atom_site_fract_y
_atom_site_fract_z
Sr1 0.0000 0.0000 0.0000
Ca1 0.5000 0.0000 0.5054
Ac1 0.0000 0.2437 0.6721
Ac2 0.5000 0.0000 0.8188
```

Most intense lines, 10 to 90 degrees two-theta, in order of rising 2θ:
- 12.86 deg, intensity 94
- 24.74 deg, intensity 95
- 25.88 deg, intensity 100
- 28.44 deg, intensity 67
- 29.57 deg, intensity 57
- 29.77 deg, intensity 85
- 30.74 deg, intensity 90
- 33.41 deg, intensity 59
- 34.78 deg, intensity 64
- 44.43 deg, intensity 47



Record 6
This entry pairs a crystal structure of Nd3Rh2 with its computed XRD peak list. Radiation: Cu Ka. Structure: the PBE geometry in Alexandria.
Intensities are scaled so that the largest is 100.

Cell and atoms:
```
data_Nd3Rh2
_symmetry_space_group_name_H-M 'R -3 c'
_symmetry_Int_Tables_number 167
_symmetry_space_group_name_Hall '-R 3 2"c'
_cell_length_a 7.0658
_cell_length_b 7.0658
_cell_length_c 19.5965
_cell_angle_alpha 90.00
_cell_angle_beta 90.00
_cell_angle_gamma 120.00
loop_
_atom_site_label
_atom_site_fract_x
_atom_site_fract_y
_atom_site_fract_z
Nd1 0.0000 0.3445 0.2500
Rh1 0.0000 0.0000 0.1723
```

Most intense lines, 10 to 90 degrees two-theta, in order of rising 2θ:
- 17.08 deg, intensity 13
- 28.73 deg, intensity 100
- 37.50 deg, intensity 63
- 44.41 deg, intensity 44
- 49.15 deg, intensity 23
- 53.76 deg, intensity 17
- 59.49 deg, intensity 16
- 72.21 deg, intensity 14
- 74.42 deg, intensity 18
- 77.18 deg, intensity 15



Record 7
This entry pairs a crystal structure of Pr2Sm5TmSc with its computed XRD peak list. Radiation: Cu Ka. Structure: the PBE geometry in Alexandria.
Intensities are scaled so that the largest is 100.

Cell and atoms:
```
data_Pr2Sm5TmSc
_symmetry_space_group_name_H-M 'C m c 21'
_symmetry_Int_Tables_number 36
_cell_length_a 5.4069
_cell_length_b 22.0490
_cell_length_c 10.1320
_cell_angle_alpha 90.00
_cell_angle_beta 90.00
_cell_angle_gamma 90.00
loop_
_symmetry_equiv_pos_as_xyz
'x,y,z'
'-x,-y,z+1/2'
'-x,y,z'
'x,-y,z+1/2'
'x+1/2,y+1/2,z'
'-x+1/2,-y+1/2,z+1/2'
'-x+1/2,y+1/2,z'
'x+1/2,-y+1/2,z+1/2'
loop_
_atom_site_label
_atom_site_fract_x
_atom_site_fract_y
_atom_site_fract_z
Pr1 0.0000 0.1160 0.0000
Pr2 0.0000 0.1164 0.4914
Sm1 0.0000 0.0000 0.2457
Sm2 0.0000 0.2772 0.0592
Sm3 0.0000 0.2776 0.4332
Sm4 0.0000 0.3723 0.7458
Sm5 0.0000 0.5001 0.4956
Tm1 0.0000 0.3974 0.2458
Sc1 0.0000 0.2126 0.7462
```

Most intense lines, 10 to 90 degrees two-theta, in order of rising 2θ:
- 27.00 deg, intensity 33
- 31.57 deg, intensity 100
- 32.49 deg, intensity 14
- 33.14 deg, intensity 30
- 35.44 deg, intensity 14
- 47.09 deg, intensity 10
- 48.84 deg, intensity 8
- 49.31 deg, intensity 13
- 58.22 deg, intensity 17
- 60.01 deg, intensity 12



Record 8
This entry pairs a crystal structure of BeZn2Ru2 with its computed XRD peak list. Radiation: Cu Ka. Structure: the PBE geometry in Alexandria.
Intensities are scaled so that the largest is 100.

Cell and atoms:
```
data_BeZn2Ru2
_symmetry_space_group_name_H-M 'P 4/m b m'
_symmetry_Int_Tables_number 127
_symmetry_space_group_name_Hall '-P 4 2ab'
_cell_length_a 5.8426
_cell_length_b 5.8426
_cell_length_c 4.0916
_cell_angle_alpha 90.00
_cell_angle_beta 90.00
_cell_angle_gamma 90.00
loop_
_atom_site_label
_atom_site_fract_x
_atom_site_fract_y
_atom_site_fract_z
Be1 0.0000 0.0000 0.0000
Zn1 0.1632 0.3368 0.5000
Ru1 0.1485 0.6485 0.0000
```

Most intense lines, 10 to 90 degrees two-theta, in order of rising 2θ:
- 21.51 deg, intensity 21
- 30.60 deg, intensity 11
- 40.98 deg, intensity 100
- 44.27 deg, intensity 18
- 49.32 deg, intensity 15
- 68.10 deg, intensity 9
- 68.42 deg, intensity 11
- 70.30 deg, intensity 10
- 79.23 deg, intensity 14
- 84.88 deg, intensity 8



Record 9
This entry pairs a crystal structure of Ho3Ru2 with its computed XRD peak list. Radiation: Cu Ka. Structure: the PBE geometry in Alexandria.
Intensities are scaled so that the largest is 100.

Cell and atoms:
```
data_Ho3Ru2
_symmetry_space_group_name_H-M 'C m c m'
_symmetry_Int_Tables_number 63
_symmetry_space_group_name_Hall '-C 2c 2'
_cell_length_a 4.2352
_cell_length_b 11.1186
_cell_length_c 9.7924
_cell_angle_alpha 90.00
_cell_angle_beta 90.00
_cell_angle_gamma 90.00
loop_
_atom_site_label
_atom_site_fract_x
_atom_site_fract_y
_atom_site_fract_z
Ho1 0.0000 0.0940 0.2500
Ho2 0.0000 0.3533 0.0635
Ru1 0.0000 0.0000 0.0000
Ru2 0.0000 0.1930 0.7500
```

Most intense lines, 10 to 90 degrees two-theta, in order of rising 2θ:
- 29.01 deg, intensity 42
- 31.79 deg, intensity 55
- 32.09 deg, intensity 31
- 33.40 deg, intensity 45
- 33.51 deg, intensity 27
- 35.65 deg, intensity 36
- 37.10 deg, intensity 100
- 42.69 deg, intensity 46
- 54.43 deg, intensity 29
- 57.53 deg, intensity 34



Record 10
This entry pairs a crystal structure of LiY4Zn2 with its computed XRD peak list. Radiation: Cu Ka. Structure: the PBE geometry in Alexandria.
Intensities are scaled so that the largest is 100.

Cell and atoms:
```
data_LiY4Zn2
_symmetry_space_group_name_H-M 'R -3 m'
_symmetry_Int_Tables_number 166
_symmetry_space_group_name_Hall '-R 3 2"'
_cell_length_a 5.0520
_cell_length_b 5.0520
_cell_length_c 24.3665
_cell_angle_alpha 90.00
_cell_angle_beta 90.00
_cell_angle_gamma 120.00
loop_
_atom_site_label
_atom_site_fract_x
_atom_site_fract_y
_atom_site_fract_z
Li1 0.0000 0.0000 0.0000
Y1 0.0000 0.0000 0.1303
Y2 0.0000 0.0000 0.3822
Zn1 0.0000 0.0000 0.2557
```

Most intense lines, 10 to 90 degrees two-theta, in order of rising 2θ:
- 21.58 deg, intensity 24
- 25.06 deg, intensity 44
- 35.54 deg, intensity 100
- 35.93 deg, intensity 88
- 51.43 deg, intensity 31
- 63.82 deg, intensity 17
- 64.07 deg, intensity 31
- 64.82 deg, intensity 11
- 75.24 deg, intensity 10
- 86.29 deg, intensity 13



Record 11
This entry pairs a crystal structure of Co4Pb with its computed XRD peak list. Radiation: Cu Ka. Structure: the PBE geometry in Alexandria.
Intensities are scaled so that the largest is 100.

Cell and atoms:
```
data_Co4Pb
_symmetry_space_group_name_H-M 'I 4/m'
_symmetry_Int_Tables_number 87
_symmetry_space_group_name_Hall '-I 4'
_cell_length_a 5.9616
_cell_length_b 5.9616
_cell_length_c 3.7402
_cell_angle_alpha 90.00
_cell_angle_beta 90.00
_cell_angle_gamma 90.00
loop_
_atom_site_label
_atom_site_fract_x
_atom_site_fract_y
_atom_site_fract_z
Co1 0.0881 0.3180 0.0000
Pb1 0.0000 0.0000 0.5000
```

Most intense lines, 10 to 90 degrees two-theta, in order of rising 2θ:
- 21.08 deg, intensity 16
- 28.17 deg, intensity 28
- 29.98 deg, intensity 17
- 41.60 deg, intensity 100
- 48.28 deg, intensity 33
- 48.69 deg, intensity 14
- 70.66 deg, intensity 9
- 70.99 deg, intensity 20
- 85.47 deg, intensity 21
- 86.10 deg, intensity 12



Record 12
This entry pairs a crystal structure of NdHo2Pb with its computed XRD peak list. Radiation: Cu Ka. Structure: the PBE geometry in Alexandria.
Intensities are scaled so that the largest is 100.

Cell and atoms:
```
data_NdHo2Pb
_symmetry_space_group_name_H-M 'P 4/m m m'
_symmetry_Int_Tables_number 123
_symmetry_space_group_name_Hall '-P 4 2'
_cell_length_a 4.9110
_cell_length_b 4.9110
_cell_length_c 4.8665
_cell_angle_alpha 90.00
_cell_angle_beta 90.00
_cell_angle_gamma 90.00
loop_
_atom_site_label
_atom_site_fract_x
_atom_site_fract_y
_atom_site_fract_z
Nd1 0.0000 0.0000 0.0000
Ho1 0.0000 0.5000 0.5000
Pb1 0.5000 0.5000 0.0000
```

Most intense lines, 10 to 90 degrees two-theta, in order of rising 2θ:
- 31.65 deg, intensity 100
- 36.60 deg, intensity 34
- 36.94 deg, intensity 17
- 52.72 deg, intensity 12
- 52.98 deg, intensity 24
- 62.81 deg, intensity 29
- 63.27 deg, intensity 14
- 66.11 deg, intensity 12
- 86.41 deg, intensity 6
- 86.82 deg, intensity 12



Record 13
This entry pairs a crystal structure of Co4Si with its computed XRD peak list. Radiation: Cu Ka. Structure: the PBE geometry in Alexandria.
Intensities are scaled so that the largest is 100.

Cell and atoms:
```
data_Co4Si
_symmetry_space_group_name_H-M 'I 4/m'
_symmetry_Int_Tables_number 87
_symmetry_space_group_name_Hall '-I 4'
_cell_length_a 5.5092
_cell_length_b 5.5092
_cell_length_c 3.5388
_cell_angle_alpha 90.00
_cell_angle_beta 90.00
_cell_angle_gamma 90.00
loop_
_atom_site_label
_atom_site_fract_x
_atom_site_fract_y
_atom_site_fract_z
Co1 0.1015 0.3021 0.0000
Si1 0.0000 0.0000 0.5000
```

Most intense lines, 10 to 90 degrees two-theta, in order of rising 2θ:
- 22.83 deg, intensity 5
- 30.01 deg, intensity 4
- 32.50 deg, intensity 2
- 44.82 deg, intensity 100
- 51.66 deg, intensity 16
- 52.53 deg, intensity 30
- 57.18 deg, intensity 1
- 66.67 deg, intensity 1
- 76.78 deg, intensity 18
- 77.48 deg, intensity 9